For Rb, the GGA-PBE geometry in the Materials Project gives the computed powder diffraction line list in this record (CuKα).

The 10 most intense peaks (10° ≤ 2θ ≤ 90°), by angle:
Position (°2θ), intensity
19.21, 100
20.04, 100
20.38, 93
23.93, 59
24.07, 82
28.02, 56
28.74, 79
37.53, 40
43.08, 51
52.45, 38

Crystal structure
```
data_Rb
_symmetry_space_group_name_H-M 'F d d d'
_symmetry_Int_Tables_number 70
_cell_length_a 4.978
_cell_length_b 17.427
_cell_length_c 17.721
_cell_angle_alpha 90.00
_cell_angle_beta 90.00
_cell_angle_gamma 90.00
loop_
_symmetry_equiv_pos_as_xyz
'x,y,z'
'-x,-y,-z'
'-x+1/4,-y+1/4,z'
'x+1/4,y+1/4,-z'
'x,-y+1/4,-z+1/4'
'-x,y+1/4,z+1/4'
'-x+1/4,y,-z+1/4'
'x+1/4,-y,z+1/4'
'x,y+1/2,z+1/2'
'-x,-y+1/2,-z+1/2'
'-x+1/4,-y+3/4,z+1/2'
'x+1/4,y+3/4,-z+1/2'
'x,-y+3/4,-z+3/4'
'-x,y+3/4,z+3/4'
'-x+1/4,y+1/2,-z+3/4'
'x+1/4,-y+1/2,z+3/4'
'x+1/2,y,z+1/2'
'-x+1/2,-y,-z+1/2'
'-x+3/4,-y+1/4,z+1/2'
'x+3/4,y+1/4,-z+1/2'
'x+1/2,-y+1/4,-z+3/4'
'-x+1/2,y+1/4,z+3/4'
'-x+3/4,y,-z+3/4'
'x+3/4,-y,z+3/4'
'x+1/2,y+1/2,z'
'-x+1/2,-y+1/2,-z'
'-x+3/4,-y+3/4,z'
'x+3/4,y+3/4,-z'
'x+1/2,-y+3/4,-z+1/4'
'-x+1/2,y+3/4,z+1/4'
'-x+3/4,y+1/2,-z+1/4'
'x+3/4,-y+1/2,z+1/4'
loop_
_atom_site_label
_atom_site_fract_x
_atom_site_fract_y
_atom_site_fract_z
_atom_site_occupancy
Rb1 0.125 0.258 0.125 1
```

=====

For Rb, the GGA-PBE geometry in the Materials Project gives the computed powder diffraction line list in this record (CuKα).

The 10 most intense peaks (10° ≤ 2θ ≤ 90°), by angle:
Position (°2θ), intensity
18.97, 31
20.76, 100
20.98, 45
21.28, 60
21.52, 42
21.67, 33
21.85, 22
22.03, 75
22.42, 45
27.36, 23

Crystal structure
```
data_Rb
_symmetry_space_group_name_H-M 'P 1'
_symmetry_Int_Tables_number 1
_symmetry_space_group_name_Hall 'P 1'
_cell_length_a 9.369
_cell_length_b 9.447
_cell_length_c 10.436
_cell_angle_alpha 112.92
_cell_angle_beta 113.92
_cell_angle_gamma 92.05
loop_
_atom_site_label
_atom_site_fract_x
_atom_site_fract_y
_atom_site_fract_z
_atom_site_occupancy
Rb1 0.000 0.000 0.000 1
Rb2 0.000 0.068 0.492 1
Rb3 0.180 0.553 0.443 1
Rb4 0.487 0.083 0.469 1
Rb5 0.488 0.677 0.972 1
Rb6 0.505 0.184 0.995 1
Rb7 0.701 0.607 0.488 1
Rb8 0.963 0.471 0.931 1
```

=====

For Rb, the GGA-PBE geometry in the Materials Project gives the computed powder diffraction line list in this record (CuKα).

The 10 most intense peaks (10° ≤ 2θ ≤ 90°), by angle:
Position (°2θ), intensity
21.57, 100
24.95, 53
35.58, 41
41.98, 51
43.95, 15
56.18, 21
57.77, 20
63.90, 14
68.29, 16
79.44, 16

Crystal structure
```
data_Rb
_symmetry_space_group_name_H-M 'F m -3 m'
_symmetry_Int_Tables_number 225
_symmetry_space_group_name_Hall '-F 4 2 3'
_cell_length_a 7.137
_cell_length_b 7.137
_cell_length_c 7.137
_cell_angle_alpha 90.00
_cell_angle_beta 90.00
_cell_angle_gamma 90.00
loop_
_atom_site_label
_atom_site_fract_x
_atom_site_fract_y
_atom_site_fract_z
_atom_site_occupancy
Rb1 0.000 0.000 0.000 1
```

=====

For Rb3Re, the GGA-PBE geometry in the Materials Project gives the computed powder diffraction line list in this record (CuKα).

The 10 most intense peaks (10° ≤ 2θ ≤ 90°), by angle:
Position (°2θ), intensity
16.69, 13
26.28, 100
29.56, 37
32.13, 15
42.30, 14
44.22, 24
50.49, 33
53.82, 14
54.09, 13
70.73, 12

Crystal structure
```
data_Rb3Re
_symmetry_space_group_name_H-M 'I 4/m m m'
_symmetry_Int_Tables_number 139
_symmetry_space_group_name_Hall '-I 4 2'
_cell_length_a 6.043
_cell_length_b 6.043
_cell_length_c 11.144
_cell_angle_alpha 90.00
_cell_angle_beta 90.00
_cell_angle_gamma 90.00
loop_
_atom_site_label
_atom_site_fract_x
_atom_site_fract_y
_atom_site_fract_z
_atom_site_occupancy
Rb1 0.000 0.000 0.000 1
Rb2 0.000 0.500 0.250 1
Re1 0.000 0.000 0.500 1
```

=====

For Rb3Re, the GGA-PBE geometry in the Materials Project gives the computed powder diffraction line list in this record (CuKα).

The 10 most intense peaks (10° ≤ 2θ ≤ 90°), by angle:
Position (°2θ), intensity
16.52, 10
19.10, 5
27.13, 100
31.93, 6
38.75, 19
47.95, 42
55.96, 13
63.28, 18
76.73, 21
89.46, 11

Crystal structure
```
data_Rb3Re
_symmetry_space_group_name_H-M 'F m -3 m'
_symmetry_Int_Tables_number 225
_symmetry_space_group_name_Hall '-F 4 2 3'
_cell_length_a 9.295
_cell_length_b 9.295
_cell_length_c 9.295
_cell_angle_alpha 90.00
_cell_angle_beta 90.00
_cell_angle_gamma 90.00
loop_
_atom_site_label
_atom_site_fract_x
_atom_site_fract_y
_atom_site_fract_z
_atom_site_occupancy
Rb1 0.000 0.000 0.000 1
Rb2 0.250 0.250 0.250 1
Re1 0.000 0.000 0.500 1
```

=====

For Rb3Re, the GGA-PBE geometry in the Materials Project gives the computed powder diffraction line list in this record (CuKα).

The 10 most intense peaks (10° ≤ 2θ ≤ 90°), by angle:
Position (°2θ), intensity
14.62, 12
25.45, 100
29.48, 52
42.17, 39
49.90, 47
52.29, 14
67.34, 19
69.34, 18
77.09, 13
82.74, 15

Crystal structure
```
data_Rb3Re
_symmetry_space_group_name_H-M 'P m -3 m'
_symmetry_Int_Tables_number 221
_symmetry_space_group_name_Hall '-P 4 2 3'
_cell_length_a 6.061
_cell_length_b 6.061
_cell_length_c 6.061
_cell_angle_alpha 90.00
_cell_angle_beta 90.00
_cell_angle_gamma 90.00
loop_
_atom_site_label
_atom_site_fract_x
_atom_site_fract_y
_atom_site_fract_z
_atom_site_occupancy
Rb1 0.000 0.000 0.500 1
Re1 0.500 0.500 0.500 1
```